Simulated PXRD pattern of Rb2TiCrO5 for Cu Kα (weighted mean of Kα1 and Kα2), from a crystal structure in Alexandria, relaxed with PBE+U.
No peak broadening, texture or thermal motion is included.

Cell and atoms:
```
Rb2TiCrO5
1.0
1.6012 -7.8470 0.0000
1.6012 7.8470 0.0000
0.0000 0.0000 12.2270
Rb Ti Cr O
4 2 2 10
direct
0.1060 0.8940 0.5000 Rb
0.1401 0.8599 0.1334 Rb
0.8599 0.1401 0.6334 Rb
0.8940 0.1060 0.0000 Rb
0.4346 0.5654 0.2771 Ti
0.5654 0.4346 0.7771 Ti
0.2192 0.7808 0.8567 Cr
0.7808 0.2192 0.3567 Cr
0.0495 0.9505 0.8561 O
0.2877 0.7123 0.4509 O
0.3176 0.6824 0.2491 O
0.3256 0.6744 0.8264 O
0.4877 0.5123 0.1534 O
0.5123 0.4877 0.6534 O
0.6744 0.3256 0.3264 O
0.6824 0.3176 0.7491 O
0.7123 0.2877 0.9509 O
0.9505 0.0495 0.3561 O
```

The 8 most intense peaks (5 to 70 degrees two-theta), in order of rising 2θ:
2θ (°)  I (rel.)
23.82  25
24.61  100
27.00  35
32.06  38
32.79  19
33.62  33
35.08  30
36.13  62